(1)
Starting from a crystal structure in Alexandria, relaxed with PBE, the powder X-ray diffraction pattern of Ac3Cd2Pd6 was computed for a wavelength of 1.5418 Å.

Atomic structure:
```
data_Ac3Cd2Pd6
_cell_length_a 10.099
_cell_length_b 10.099
_cell_length_c 10.099
_cell_angle_alpha 90.00
_cell_angle_beta 90.00
_cell_angle_gamma 90.00
_space_group_name_H-M_alt 'I m -3 m'
_space_group_IT_number 229
_space_group_name_Hall '-I 4 2 3'
loop_
_atom_site_label
_atom_site_type_symbol
_atom_site_fract_x
_atom_site_fract_y
_atom_site_fract_z
Ac1 Ac 0.000 0.000 0.302
Cd1 Cd 0.250 0.250 0.250
Pd1 Pd 0.000 0.338 0.338
```

Most intense lines, 2θ from 10° to 80°, by angle:
| hkl | 2θ (°) | d_spacing | I (rel.) |
| --- | --- | --- | --- |
| 2 1 1 | 21.55 | 4.123 | 12 |
| 3 1 0 | 27.94 | 3.193 | 29 |
| 2 2 2 | 30.67 | 2.915 | 29 |
| 3 2 1 | 33.19 | 2.699 | 18 |
| 4 0 0 | 35.56 | 2.525 | 18 |
| 3 3 0 | 37.80 | 2.380 | 100 |
| 5 2 1 | 49.43 | 1.844 | 14 |
| 5 3 2 | 56.14 | 1.638 | 12 |
| 6 2 2 | 60.85 | 1.522 | 13 |
| 6 3 3 | 68.25 | 1.374 | 34 |

(2)
Starting from a crystal structure in Alexandria, relaxed with PBE, the powder X-ray diffraction pattern of Ta2Ti2Te7 was computed for a wavelength of 1.5418 Å.

Atomic structure:
```
data_Ta2Ti2Te7
_cell_length_a 7.482
_cell_length_b 12.553
_cell_length_c 6.984
_cell_angle_alpha 90.00
_cell_angle_beta 100.15
_cell_angle_gamma 90.00
_space_group_name_H-M_alt 'C 1 2/m 1'
_space_group_IT_number 12
loop_
_space_group_symop_operation_xyz
'x,y,z'
'-x,-y,-z'
'-x,y,-z'
'x,-y,z'
'x+1/2,y+1/2,z'
'-x+1/2,-y+1/2,-z'
'-x+1/2,y+1/2,-z'
'x+1/2,-y+1/2,z'
loop_
_atom_site_label
_atom_site_type_symbol
_atom_site_fract_x
_atom_site_fract_y
_atom_site_fract_z
Ta1 Ta 0.154 0.000 0.131
Ti1 Ti 0.000 0.186 0.500
Te1 Te 0.000 0.500 0.000
Te2 Te 0.153 0.000 0.698
Te3 Te 0.229 0.211 0.238
```

Most intense lines, 2θ from 10° to 80°, by angle:
| hkl | 2θ (°) | d_spacing | I (rel.) |
| --- | --- | --- | --- |
| 1 1 0 | 13.94 | 6.352 | 71 |
| 0 2 1 | 19.15 | 4.635 | 47 |
| 0 4 0 | 28.44 | 3.138 | 87 |
| 1 1 2 | 31.40 | 2.849 | 73 |
| 2 0 -2 | 32.34 | 2.768 | 100 |
| 3 1 0 | 37.33 | 2.409 | 60 |
| 1 3 2 | 37.53 | 2.397 | 37 |
| 2 2 2 | 41.54 | 2.174 | 34 |
| 2 4 -2 | 43.60 | 2.076 | 49 |
| 3 5 0 | 52.10 | 1.755 | 53 |

(3)
Starting from a crystal structure in Alexandria, relaxed with PBE, the powder X-ray diffraction pattern of CeZr2ScP4 was computed for a wavelength of 1.5418 Å.

Atomic structure:
```
data_CeZr2ScP4
_cell_length_a 6.601
_cell_length_b 3.816
_cell_length_c 6.682
_cell_angle_alpha 90.00
_cell_angle_beta 109.22
_cell_angle_gamma 90.00
_space_group_name_H-M_alt 'P 1 2/m 1'
_space_group_IT_number 10
loop_
_space_group_symop_operation_xyz
'x,y,z'
'-x,-y,-z'
'-x,y,-z'
'x,-y,z'
loop_
_atom_site_label
_atom_site_type_symbol
_atom_site_fract_x
_atom_site_fract_y
_atom_site_fract_z
Ce1 Ce 0.000 0.000 0.000
Zr1 Zr 0.000 0.500 0.500
Zr2 Zr 0.500 0.000 0.500
Sc1 Sc 0.500 0.500 0.000
P1 P 0.256 0.000 0.745
P2 P 0.262 0.500 0.262
```

Most intense lines, 2θ from 10° to 80°, by angle:
| hkl | 2θ (°) | d_spacing | I (rel.) |
| --- | --- | --- | --- |
| 0 0 2 | 28.29 | 3.155 | 13 |
| 2 0 0 | 28.63 | 3.118 | 36 |
| 1 1 1 | 33.08 | 2.708 | 100 |
| 1 1 -3 | 47.26 | 1.923 | 35 |
| 0 2 0 | 47.69 | 1.907 | 34 |
| 3 1 1 | 56.38 | 1.632 | 11 |
| 2 2 -2 | 59.27 | 1.559 | 17 |
| 4 0 -4 | 69.40 | 1.354 | 11 |
| 0 2 4 | 78.73 | 1.215 | 15 |
| 1 3 1 | 79.36 | 1.207 | 10 |

(4)
Starting from a crystal structure in Alexandria, relaxed with PBE, the powder X-ray diffraction pattern of La8CuIr2 was computed for a wavelength of 1.5418 Å.

Atomic structure:
```
data_La8CuIr2
_cell_length_a 9.071
_cell_length_b 12.008
_cell_length_c 6.751
_cell_angle_alpha 90.00
_cell_angle_beta 107.94
_cell_angle_gamma 90.00
_space_group_name_H-M_alt 'C 1 m 1'
_space_group_IT_number 8
loop_
_space_group_symop_operation_xyz
'x,y,z'
'x,-y,z'
'x+1/2,y+1/2,z'
'x+1/2,-y+1/2,z'
loop_
_atom_site_label
_atom_site_type_symbol
_atom_site_fract_x
_atom_site_fract_y
_atom_site_fract_z
La1 La 0.000 0.000 0.000
La2 La 0.070 0.361 0.862
La3 La 0.142 0.148 0.561
La4 La 0.226 0.500 0.443
La5 La 0.354 0.189 0.187
Cu1 Cu 0.385 0.000 0.473
Ir1 Ir 0.359 0.316 0.732
```

Most intense lines, 2θ from 10° to 80°, by angle:
| hkl | 2θ (°) | d_spacing | I (rel.) |
| --- | --- | --- | --- |
| 0 0 1 | 13.79 | 6.423 | 31 |
| 2 0 -2 | 29.10 | 3.069 | 30 |
| 1 3 1 | 29.79 | 2.999 | 100 |
| 3 1 -1 | 30.80 | 2.903 | 43 |
| 0 2 2 | 31.59 | 2.832 | 32 |
| 2 2 -2 | 32.78 | 2.732 | 24 |
| 3 3 -1 | 37.53 | 2.396 | 30 |
| 3 3 0 | 38.54 | 2.336 | 18 |
| 1 3 2 | 39.81 | 2.264 | 20 |
| 1 5 -1 | 40.33 | 2.237 | 24 |

Repeat the fourth record exactly.
Starting from a crystal structure in Alexandria, relaxed with PBE, the powder X-ray diffraction pattern of La8CuIr2 was computed for a wavelength of 1.5418 Å.

Atomic structure:
```
data_La8CuIr2
_cell_length_a 9.071
_cell_length_b 12.008
_cell_length_c 6.751
_cell_angle_alpha 90.00
_cell_angle_beta 107.94
_cell_angle_gamma 90.00
_space_group_name_H-M_alt 'C 1 m 1'
_space_group_IT_number 8
loop_
_space_group_symop_operation_xyz
'x,y,z'
'x,-y,z'
'x+1/2,y+1/2,z'
'x+1/2,-y+1/2,z'
loop_
_atom_site_label
_atom_site_type_symbol
_atom_site_fract_x
_atom_site_fract_y
_atom_site_fract_z
La1 La 0.000 0.000 0.000
La2 La 0.070 0.361 0.862
La3 La 0.142 0.148 0.561
La4 La 0.226 0.500 0.443
La5 La 0.354 0.189 0.187
Cu1 Cu 0.385 0.000 0.473
Ir1 Ir 0.359 0.316 0.732
```

Most intense lines, 2θ from 10° to 80°, by angle:
| hkl | 2θ (°) | d_spacing | I (rel.) |
| --- | --- | --- | --- |
| 0 0 1 | 13.79 | 6.423 | 31 |
| 2 0 -2 | 29.10 | 3.069 | 30 |
| 1 3 1 | 29.79 | 2.999 | 100 |
| 3 1 -1 | 30.80 | 2.903 | 43 |
| 0 2 2 | 31.59 | 2.832 | 32 |
| 2 2 -2 | 32.78 | 2.732 | 24 |
| 3 3 -1 | 37.53 | 2.396 | 30 |
| 3 3 0 | 38.54 | 2.336 | 18 |
| 1 3 2 | 39.81 | 2.264 | 20 |
| 1 5 -1 | 40.33 | 2.237 | 24 |

Question: What is the formula in the third record?
Answer: CeZr2ScP4